# 1
Diffraction record for Sr4RhI3. The powder X-ray diffraction pattern is calculated, not measured: it uses a PBE-relaxed structure and a wavelength of 1.5418 Å.

Atomic structure:
```
data_Sr4RhI3
_cell_length_a 8.6398
_cell_length_b 9.8649
_cell_length_c 7.8651
_cell_angle_alpha 90.00
_cell_angle_beta 107.91
_cell_angle_gamma 90.00
_symmetry_space_group_name_H-M 'P 1 2/c 1'
_symmetry_Int_Tables_number 13
_symmetry_space_group_name_Hall '-P 2yc'
loop_
_atom_site_label
_atom_site_fract_x
_atom_site_fract_y
_atom_site_fract_z
Sr1 0.1952 0.0992 0.4919
Sr2 0.2126 0.3180 0.9548
Rh1 0.0000 0.1136 0.7500
I1 0.0000 0.4047 0.2500
I2 0.5000 0.1297 0.2500
I3 0.5000 0.3897 0.7500
```

The 12 most intense peaks (2θ from 10° to 90°), sorted by position:
d 3.960, 22.4 deg, I 8, (1 2 -1)
d 3.456, 25.8 deg, I 100, (1 2 1)
d 3.322, 26.8 deg, I 53, (2 0 -2)
d 2.947, 30.3 deg, I 9, (1 3 -1)
d 2.484, 36.2 deg, I 35, (3 2 -1)
d 2.467, 36.4 deg, I 15, (0 4 0)
d 2.421, 37.1 deg, I 18, (2 0 2)
d 2.315, 38.9 deg, I 34, (1 2 -3)
d 2.056, 44.0 deg, I 11, (4 0 0)
d 1.980, 45.8 deg, I 14, (2 4 -2)
d 1.871, 48.7 deg, I 8, (0 0 4)
d 1.727, 53.0 deg, I 10, (2 4 2)



# 2
Diffraction record for Sr6Rh2I. The powder X-ray diffraction pattern is calculated, not measured: it uses a PBE-relaxed structure and a wavelength of 1.5418 Å.

Atomic structure:
```
data_Sr6Rh2I
_cell_length_a 9.3058
_cell_length_b 5.3634
_cell_length_c 14.0652
_cell_angle_alpha 90.00
_cell_angle_beta 90.05
_cell_angle_gamma 90.00
_symmetry_space_group_name_H-M 'C 1 2/m 1'
_symmetry_Int_Tables_number 12
_symmetry_space_group_name_Hall '-C 2y'
loop_
_atom_site_label
_atom_site_fract_x
_atom_site_fract_y
_atom_site_fract_z
Sr1 0.0007 0.0000 0.1920
Sr2 0.1664 0.5000 0.9274
Sr3 0.1677 0.5000 0.3565
Rh1 0.1673 0.5000 0.1504
I1 0.0000 0.0000 0.5000
```

The 12 most intense peaks (2θ from 10° to 90°), sorted by position:
d 4.688, 18.9 deg, I 16, (0 0 3)
d 4.414, 20.1 deg, I 61, (1 1 -1)
d 3.301, 27.0 deg, I 36, (2 0 -3)
d 2.805, 31.9 deg, I 28, (1 1 -4)
d 2.804, 31.9 deg, I 16, (2 0 4)
d 2.684, 33.4 deg, I 100, (3 1 0)
d 2.407, 37.4 deg, I 41, (1 1 -5)
d 2.329, 38.7 deg, I 15, (3 1 3)
d 1.792, 51.0 deg, I 16, (4 0 -5)
d 1.572, 58.7 deg, I 15, (5 1 4)
d 1.550, 59.7 deg, I 18, (6 0 0)
d 1.490, 62.3 deg, I 16, (4 2 -5)



# 3
Diffraction record for Te4Rh2I. The powder X-ray diffraction pattern is calculated, not measured: it uses a PBE-relaxed structure and a wavelength of 1.5418 Å.

Atomic structure:
```
data_Te4Rh2I
_cell_length_a 10.6539
_cell_length_b 10.6018
_cell_length_c 8.8028
_cell_angle_alpha 90.00
_cell_angle_beta 127.22
_cell_angle_gamma 90.00
_symmetry_space_group_name_H-M 'C 1 2/c 1'
_symmetry_Int_Tables_number 15
_symmetry_space_group_name_Hall '-C 2yc'
loop_
_atom_site_label
_atom_site_fract_x
_atom_site_fract_y
_atom_site_fract_z
Te1 0.0458 0.2434 0.1071
Te2 0.1887 0.0066 0.3928
Rh1 0.0000 0.0000 0.0000
Rh2 0.2500 0.2500 0.5000
I1 0.0000 0.3754 0.7500
```

The 12 most intense peaks (2θ from 10° to 90°), sorted by position:
d 6.623, 13.4 deg, I 74, (1 1 -1)
d 4.235, 21.0 deg, I 42, (2 0 0)
d 3.274, 27.2 deg, I 60, (3 1 -2)
d 3.262, 27.3 deg, I 62, (1 3 -1)
d 2.729, 32.8 deg, I 47, (3 1 0)
d 2.663, 33.6 deg, I 44, (4 0 -2)
d 2.650, 33.8 deg, I 44, (0 4 0)
d 2.627, 34.1 deg, I 100, (1 1 2)
d 2.153, 42.0 deg, I 40, (3 1 1)
d 1.984, 45.7 deg, I 41, (2 2 -4)
d 1.879, 48.5 deg, I 64, (4 4 -2)
d 1.868, 48.7 deg, I 38, (3 3 1)



# 4
Diffraction record for Th6RhI15. The powder X-ray diffraction pattern is calculated, not measured: it uses a PBE-relaxed structure and a wavelength of 1.5418 Å.

Atomic structure:
```
data_Th6RhI15
_cell_length_a 12.4482
_cell_length_b 12.4482
_cell_length_c 12.4482
_cell_angle_alpha 90.00
_cell_angle_beta 90.00
_cell_angle_gamma 90.00
_symmetry_space_group_name_H-M 'I m -3 m'
_symmetry_Int_Tables_number 229
_symmetry_space_group_name_Hall '-I 4 2 3'
loop_
_atom_site_label
_atom_site_fract_x
_atom_site_fract_y
_atom_site_fract_z
Th1 0.0000 0.0000 0.2317
Rh1 0.0000 0.0000 0.0000
I1 0.0000 0.0000 0.5000
I2 0.0000 0.2522 0.2522
```

The 12 most intense peaks (2θ from 10° to 90°), sorted by position:
d 8.802, 10.0 deg, I 52, (1 1 0)
d 5.082, 17.5 deg, I 14, (2 1 1)
d 3.327, 26.8 deg, I 28, (3 2 1)
d 3.112, 28.7 deg, I 100, (4 0 0)
d 2.654, 33.8 deg, I 15, (3 3 2)
d 2.441, 36.8 deg, I 12, (5 1 0)
d 2.201, 41.0 deg, I 74, (4 4 0)
d 1.797, 50.8 deg, I 26, (4 4 4)
d 1.694, 54.1 deg, I 11, (7 2 1)
d 1.556, 59.4 deg, I 12, (8 0 0)
d 1.392, 67.3 deg, I 32, (8 4 0)
d 1.270, 74.7 deg, I 23, (8 4 4)



# 5
Diffraction record for Ti2RhI. The powder X-ray diffraction pattern is calculated, not measured: it uses a PBE-relaxed structure and a wavelength of 1.5418 Å.

Atomic structure:
```
data_Ti2RhI
_cell_length_a 6.0924
_cell_length_b 6.0924
_cell_length_c 11.5020
_cell_angle_alpha 90.00
_cell_angle_beta 90.00
_cell_angle_gamma 90.00
_symmetry_space_group_name_H-M 'I -4 2 d'
_symmetry_Int_Tables_number 122
_symmetry_space_group_name_Hall 'I -4 2bw'
loop_
_atom_site_label
_atom_site_fract_x
_atom_site_fract_y
_atom_site_fract_z
Ti1 0.1912 0.2500 0.1250
Rh1 0.0000 0.0000 0.0000
I1 0.0000 0.0000 0.5000
```

The 12 most intense peaks (2θ from 10° to 90°), sorted by position:
d 3.448, 25.8 deg, I 100, (1 1 2)
d 3.046, 29.3 deg, I 13, (2 0 0)
d 2.154, 41.9 deg, I 20, (2 2 0)
d 2.091, 43.3 deg, I 39, (2 0 4)
d 1.827, 49.9 deg, I 30, (3 1 2)
d 1.751, 52.2 deg, I 14, (1 1 6)
d 1.724, 53.1 deg, I 6, (2 2 4)
d 1.393, 67.2 deg, I 6, (3 3 2)
d 1.359, 69.1 deg, I 11, (3 1 6)
d 1.231, 77.5 deg, I 10, (4 2 4)
d 1.196, 80.3 deg, I 6, (2 2 8)
d 1.170, 82.4 deg, I 7, (5 1 2)



# 6
Diffraction record for Y4RhI5. The powder X-ray diffraction pattern is calculated, not measured: it uses a PBE-relaxed structure and a wavelength of 1.5418 Å.

Atomic structure:
```
data_Y4RhI5
_cell_length_a 19.5722
_cell_length_b 4.1282
_cell_length_c 8.9227
_cell_angle_alpha 90.00
_cell_angle_beta 102.56
_cell_angle_gamma 90.00
_symmetry_space_group_name_H-M 'C 1 2/m 1'
_symmetry_Int_Tables_number 12
_symmetry_space_group_name_Hall '-C 2y'
loop_
_atom_site_label
_atom_site_fract_x
_atom_site_fract_y
_atom_site_fract_z
Y1 0.0008 0.0000 0.2025
Y2 0.1430 0.5000 0.0745
Rh1 0.0000 0.5000 0.0000
I1 0.0000 0.5000 0.5000
I2 0.1683 0.0000 0.3440
I3 0.1781 0.0000 0.8314
```

The 12 most intense peaks (2θ from 10° to 90°), sorted by position:
d 8.709, 10.2 deg, I 18, (0 0 1)
d 3.672, 24.2 deg, I 12, (2 0 2)
d 3.635, 24.5 deg, I 12, (4 0 -2)
d 3.464, 25.7 deg, I 18, (3 1 0)
d 3.184, 28.0 deg, I 51, (6 0 0)
d 3.030, 29.5 deg, I 100, (1 1 -2)
d 2.803, 31.9 deg, I 12, (5 1 0)
d 2.231, 40.4 deg, I 17, (2 0 -4)
d 2.203, 41.0 deg, I 35, (5 1 2)
d 2.187, 41.3 deg, I 32, (7 1 -2)
d 2.064, 43.9 deg, I 18, (0 2 0)
d 1.732, 52.9 deg, I 17, (6 2 0)